Record 1
Rb2Cd9Ag3: simulated XRD peak list (Cu Kα), based on DFT lattice parameters and positions (PBE).
Lines closer than 0.1° are merged.

Crystal structure
```
28
Lattice="7.567 -4.327 0.000 7.567 4.327 0.000 -5.222 0.000 11.117" Properties=species:S:1:pos:R:3 pbc="T T T"
Rb 1.247 0.724 2.758
Rb -1.363 -0.724 8.317
Rb 11.276 0.724 2.800
Rb 8.665 -0.724 8.359
Cd 6.290 3.531 0.719
Cd 6.234 3.531 4.839
Cd 1.240 0.687 6.232
Cd 4.734 1.573 2.831
Cd 1.122 0.701 10.597
Cd 3.851 -0.687 0.673
Cd 3.651 1.046 8.338
Cd 7.790 1.573 2.727
Cd 3.733 -0.701 5.039
Cd 6.179 0.701 6.079
Cd 2.123 -1.573 8.390
Cd 6.262 -1.046 2.779
Cd 6.062 0.687 10.444
Cd 8.790 -0.701 0.520
Cd 5.179 -1.573 8.286
Cd 8.673 -0.687 4.886
Cd 3.679 -3.531 6.278
Cd 3.623 -3.531 10.398
Ag 3.784 2.164 0.000
Ag 3.645 2.267 5.566
Ag 3.657 2.267 11.110
Ag 1.173 -2.164 5.559
Ag 6.256 -2.267 0.007
Ag 6.268 -2.267 5.552
```

Main lines, by angle (10° ≤ 2θ ≤ 90°):
| d (Å) | Rel. int. |
| --- | --- |
| 5.559 | 35 |
| 2.843 | 59 |
| 2.814 | 68 |
| 2.804 | 58 |
| 2.779 | 48 |
| 2.522 | 51 |
| 2.504 | 100 |
| 2.290 | 34 |

Record 2
RbCd4Ag: simulated XRD peak list (Cu Kα), based on DFT lattice parameters and positions (PBE).
Lines closer than 0.1° are merged.

Crystal structure
```
12
Lattice="7.213 0.000 0.000 0.000 7.213 0.000 0.000 0.000 8.148" Properties=species:S:1:pos:R:3 pbc="T T T"
Rb 0.000 3.607 0.000
Rb 3.607 0.000 0.000
Cd 0.000 0.000 1.411
Cd 0.000 0.000 6.737
Cd 1.047 2.559 4.074
Cd 2.559 6.166 4.074
Cd 3.607 3.607 1.411
Cd 3.607 3.607 6.737
Cd 4.654 1.047 4.074
Cd 6.166 4.654 4.074
Ag 0.000 0.000 4.074
Ag 3.607 3.607 4.074
```

Main lines, by angle (10° ≤ 2θ ≤ 90°):
| d (Å) | Rel. int. |
| --- | --- |
| 8.148 | 46 |
| 5.101 | 43 |
| 3.607 | 90 |
| 2.999 | 50 |
| 2.550 | 51 |
| 2.397 | 50 |
| 2.281 | 55 |
| 1.747 | 100 |

Record 3
Rb2Cd2Ag: simulated XRD peak list (Cu Kα), based on DFT lattice parameters and positions (PBE).
Lines closer than 0.1° are merged.

Crystal structure
```
10
Lattice="-2.555 2.555 17.632 2.555 -2.555 17.632 2.555 2.555 -17.632" Properties=species:S:1:pos:R:3 pbc="T T T"
Rb 2.555 1.277 -7.003
Rb 0.000 1.277 1.813
Rb 2.555 1.277 15.819
Rb 0.000 1.277 24.635
Cd 2.555 1.277 -3.174
Cd 0.000 1.277 5.642
Cd 2.555 1.277 11.990
Cd 0.000 1.277 20.806
Ag 2.555 1.277 4.408
Ag 0.000 1.277 13.224
```

Main lines, by angle (10° ≤ 2θ ≤ 90°):
| d (Å) | Rel. int. |
| --- | --- |
| 8.816 | 100 |
| 4.138 | 30 |
| 3.540 | 45 |
| 3.109 | 89 |
| 3.078 | 37 |
| 2.555 | 62 |
| 2.524 | 31 |
| 1.974 | 47 |

Record 4
Rb2Cd4Ag3: simulated XRD peak list (Cu Kα), based on DFT lattice parameters and positions (PBE).
Lines closer than 0.1° are merged.

Crystal structure
```
9
Lattice="0.000 5.487 7.407 3.058 0.000 7.407 3.058 5.487 0.000" Properties=species:S:1:pos:R:3 pbc="T T T"
Rb 3.058 5.487 1.936
Rb 3.058 5.487 12.879
Cd 3.058 3.531 5.015
Cd 3.058 3.531 9.800
Cd 3.058 7.444 5.015
Cd 3.058 7.444 9.800
Ag 1.529 2.744 0.000
Ag 1.529 2.744 7.407
Ag 3.058 5.487 7.407
```

Main lines, by angle (10° ≤ 2θ ≤ 90°):
| d (Å) | Rel. int. |
| --- | --- |
| 3.071 | 20 |
| 3.058 | 21 |
| 2.649 | 100 |
| 2.513 | 36 |
| 2.469 | 29 |
| 2.358 | 24 |
| 1.675 | 24 |
| 1.570 | 17 |

Record 5
CdReAg3: simulated XRD peak list (Cu Kα), based on DFT lattice parameters and positions (PBE).
Lines closer than 0.1° are merged.

Crystal structure
```
5
Lattice="5.135 0.000 0.000 0.000 5.135 0.000 0.000 0.000 5.135" Properties=species:S:1:pos:R:3 pbc="T T T"
Cd 0.000 0.000 0.000
Re 2.567 2.567 2.567
Ag 0.000 2.567 2.567
Ag 2.567 0.000 2.567
Ag 2.567 2.567 0.000
```

Main lines, by angle (10° ≤ 2θ ≤ 90°):
| d (Å) | Rel. int. |
| --- | --- |
| 5.135 | 46 |
| 3.631 | 42 |
| 2.965 | 36 |
| 2.567 | 100 |
| 2.296 | 24 |
| 1.815 | 69 |
| 1.482 | 23 |
| 1.148 | 31 |

Record 6
Cd2ReAg: simulated XRD peak list (Cu Kα), based on DFT lattice parameters and positions (PBE).
Lines closer than 0.1° are merged.

Crystal structure
```
4
Lattice="2.958 0.000 0.000 0.000 4.875 0.000 0.000 0.000 5.035" Properties=species:S:1:pos:R:3 pbc="T T T"
Cd 0.000 0.000 0.000
Cd 1.479 0.000 2.518
Re 0.000 2.438 2.518
Ag 1.479 2.438 0.000
```

Main lines, by angle (10° ≤ 2θ ≤ 90°):
| d (Å) | Rel. int. |
| --- | --- |
| 2.518 | 34 |
| 2.438 | 31 |
| 2.260 | 100 |
| 1.751 | 22 |
| 1.398 | 21 |
| 1.371 | 20 |
| 1.275 | 8 |
| 1.130 | 11 |

Record 7
Cd2ReAg: simulated XRD peak list (Cu Kα), based on DFT lattice parameters and positions (PBE).
Lines closer than 0.1° are merged.

Crystal structure
```
4
Lattice="-1.455 2.539 4.920 1.455 -2.539 4.920 1.455 2.539 -4.920" Properties=species:S:1:pos:R:3 pbc="T T T"
Cd 0.000 0.000 2.441
Cd 0.000 0.000 7.398
Re 0.000 2.539 0.000
Ag 1.455 0.000 0.000
```

Main lines, by angle (10° ≤ 2θ ≤ 90°):
| d (Å) | Rel. int. |
| --- | --- |
| 2.539 | 36 |
| 2.460 | 33 |
| 2.246 | 100 |
| 1.767 | 24 |
| 1.402 | 21 |
| 1.375 | 20 |
| 1.123 | 11 |
| 1.092 | 10 |

Record 8
Cd2AgRh: simulated XRD peak list (Cu Kα), based on DFT lattice parameters and positions (PBE).
Lines closer than 0.1° are merged.

Crystal structure
```
4
Lattice="3.084 0.000 0.000 0.000 3.808 0.000 -0.010 0.000 6.124" Properties=species:S:1:pos:R:3 pbc="T T T"
Cd -0.001 0.000 1.448
Cd 3.075 0.000 4.675
Ag 1.537 1.904 3.062
Rh 1.542 1.904 0.000
```

Main lines, by angle (10° ≤ 2θ ≤ 90°):
| d (Å) | Rel. int. |
| --- | --- |
| 2.397 | 100 |
| 2.386 | 97 |
| 2.173 | 73 |
| 1.904 | 25 |
| 1.542 | 12 |
| 1.432 | 37 |
| 1.295 | 26 |
| 1.290 | 25 |